Record 1
# TaCr3Cu2S8
Theoretical XRD peak list, Cu Kα. Input: the PBE geometry in the Materials Project.

Most intense lines, 2θ = 5–70°, sorted by position:
| (hkl) | d_spacing | 2θ/deg | intensity |
| --- | --- | --- | --- |
| 0 0 1 | 12.299 | 7.19 | 193 |
| 0 1 1 | 6.162 | 14.37 | 1000 |
| 1 0 -2 | 4.820 | 18.41 | 317 |
| 0 1 2 | 4.654 | 19.07 | 202 |
| 1 1 1 | 4.283 | 20.74 | 239 |
| 0 2 0 | 3.560 | 25.01 | 751 |
| 2 1 -1 | 2.938 | 30.43 | 304 |
| 1 1 -4 | 2.728 | 32.83 | 248 |
| 1 1 4 | 2.460 | 36.53 | 344 |
| 2 2 2 | 2.141 | 42.21 | 215 |
| 3 1 -2 | 2.033 | 44.56 | 186 |
| 0 4 0 | 1.780 | 51.33 | 211 |

Cell: 6.489 7.121 12.444 Å, 90.00 98.75 90.00°
Space group P2_1/m (No. 11)
Symmetry-distinct sites (fractional):
Ta1 0.007 0.250 0.178 (multiplicity 2)
Cr1 0.108 0.250 0.430 (multiplicity 2)
Cr2 0.379 0.750 0.929 (multiplicity 2)
Cr3 0.488 0.250 0.273 (multiplicity 2)
Cu1 0.244 0.250 0.896 (multiplicity 2)
Cu2 0.335 0.750 0.404 (multiplicity 2)
S1 0.129 0.750 0.026 (multiplicity 2)
S2 0.227 0.036 0.317 (multiplicity 4)
S3 0.234 0.750 0.571 (multiplicity 2)
S4 0.279 0.522 0.808 (multiplicity 4)
S5 0.289 0.250 0.080 (multiplicity 2)
S6 0.316 0.250 0.577 (multiplicity 2)

---

Record 2
# TaCr3Cu2S8
Theoretical XRD peak list, Cu Kα. Input: the PBE geometry in the Materials Project.

Most intense lines, 2θ = 5–70°, sorted by position:
| (hkl) | d_spacing | 2θ/deg | intensity |
| --- | --- | --- | --- |
| 0 1 1 | 8.238 | 10.74 | 311 |
| 0 2 0 | 5.916 | 14.98 | 411 |
| 0 3 2 | 3.250 | 27.44 | 1000 |
| 2 0 -3 | 2.714 | 33.00 | 305 |
| 2 1 -3 | 2.645 | 33.88 | 405 |
| 0 4 2 | 2.629 | 34.10 | 365 |
| 2 2 -3 | 2.467 | 36.42 | 240 |
| 2 1 3 | 2.436 | 36.90 | 370 |
| 2 2 3 | 2.294 | 39.27 | 374 |
| 0 5 2 | 2.188 | 41.27 | 383 |
| 2 3 -5 | 1.788 | 51.10 | 250 |
| 2 6 -1 | 1.713 | 53.48 | 242 |

Cell: 7.087 11.831 11.520 Å, 90.00 94.97 90.00°
Space group P2_1 (No. 4)
Symmetry-distinct sites (fractional):
Ta1 0.160 0.000 0.118 (multiplicity 2)
Ta2 0.319 0.351 0.589 (multiplicity 2)
Cr1 0.056 0.629 0.663 (multiplicity 2)
Cr2 0.090 0.497 0.379 (multiplicity 2)
Cr3 0.153 0.131 0.850 (multiplicity 2)
Cr4 0.340 0.638 0.153 (multiplicity 2)
Cr5 0.419 0.867 0.876 (multiplicity 2)
Cr6 0.428 0.137 0.355 (multiplicity 2)
Cu1 0.058 0.358 0.064 (multiplicity 2)
Cu2 0.116 0.854 0.381 (multiplicity 2)
Cu3 0.340 0.006 0.645 (multiplicity 2)
Cu4 0.389 0.500 0.870 (multiplicity 2)
S1 0.056 0.304 0.459 (multiplicity 2)
S2 0.077 0.562 0.027 (multiplicity 2)
S3 0.090 0.448 0.761 (multiplicity 2)
S4 0.111 0.680 0.286 (multiplicity 2)
S5 0.122 0.944 0.775 (multiplicity 2)
S6 0.174 0.036 0.470 (multiplicity 2)
S7 0.178 0.188 0.211 (multiplicity 2)
S8 0.226 0.812 0.035 (multiplicity 2)
S9 0.290 0.555 0.540 (multiplicity 2)
S10 0.332 0.332 0.983 (multiplicity 2)
S11 0.345 0.687 0.782 (multiplicity 2)
S12 0.376 0.466 0.259 (multiplicity 2)
S13 0.380 0.199 0.725 (multiplicity 2)
S14 0.409 0.054 0.967 (multiplicity 2)
S15 0.411 0.951 0.274 (multiplicity 2)
S16 0.459 0.804 0.531 (multiplicity 2)

---

Record 3
# TaCr3Cu2S8
Theoretical XRD peak list, Cu Kα. Input: the PBE geometry in the Materials Project.

Most intense lines, 2θ = 5–70°, sorted by position:
| (hkl) | d_spacing | 2θ/deg | intensity |
| --- | --- | --- | --- |
| 0 1 0 | 11.453 | 7.72 | 425 |
| 0 1 1 | 8.275 | 10.69 | 370 |
| 0 1 2 | 5.305 | 16.71 | 393 |
| 0 2 1 | 5.166 | 17.17 | 245 |
| 0 2 3 | 3.276 | 27.22 | 1000 |
| 1 2 0 | 2.933 | 30.48 | 248 |
| 0 2 4 | 2.652 | 33.79 | 273 |
| 1 2 2 | 2.633 | 34.04 | 496 |
| 1 3 1 | 2.489 | 36.08 | 481 |
| 1 3 2 | 2.342 | 38.43 | 701 |
| 1 1 5 | 1.932 | 47.03 | 384 |
| 2 0 0 | 1.707 | 53.69 | 260 |

Cell: 3.414 11.453 11.971 Å, 90.00 90.00 90.00°
Space group Pmn2_1 (No. 31)
Symmetry-distinct sites (fractional):
Ta1 0.000 0.101 0.000 (multiplicity 2)
Cr1 0.000 0.142 0.366 (multiplicity 2)
Cr2 0.000 0.602 0.088 (multiplicity 2)
Cr3 0.000 0.635 0.718 (multiplicity 2)
Cu1 0.000 0.383 0.861 (multiplicity 2)
Cu2 0.000 0.866 0.218 (multiplicity 2)
S1 0.000 0.046 0.547 (multiplicity 2)
S2 0.000 0.219 0.172 (multiplicity 2)
S3 0.000 0.284 0.683 (multiplicity 2)
S4 0.000 0.497 0.261 (multiplicity 2)
S5 0.000 0.535 0.540 (multiplicity 2)
S6 0.000 0.719 0.909 (multiplicity 2)
S7 0.000 0.779 0.409 (multiplicity 2)
S8 0.000 0.997 0.815 (multiplicity 2)

---

Record 4
# TaCr3Cu2S8
Theoretical XRD peak list, Cu Kα. Input: the PBE geometry in the Materials Project.

Most intense lines, 2θ = 5–70°, sorted by position:
| (hkl) | d_spacing | 2θ/deg | intensity |
| --- | --- | --- | --- |
| 0 0 2 | 6.265 | 14.14 | 1000 |
| 1 0 0 | 5.898 | 15.02 | 373 |
| 1 1 0 | 4.480 | 19.82 | 218 |
| -1 2 1 | 2.980 | 29.98 | 206 |
| 2 0 -2 | 2.907 | 30.76 | 255 |
| 1 2 1 | 2.817 | 31.76 | 257 |
| 2 0 2 | 2.479 | 36.24 | 201 |
| 1 2 3 | 2.284 | 39.45 | 191 |
| -1 2 5 | 1.997 | 45.43 | 226 |
| 2 0 -6 | 1.898 | 47.92 | 187 |
| -3 2 1 | 1.741 | 52.56 | 406 |
| 3 2 -1 | 1.736 | 52.74 | 199 |

Cell: 6.026 6.969 12.813 Å, 92.22 101.84 90.09°
Space group P1 (No. 1)
Symmetry-distinct sites (fractional):
Ta1 0.000 0.000 0.000 (multiplicity 1)
Ta2 0.025 0.246 0.503 (multiplicity 1)
Cr1 0.003 0.763 0.491 (multiplicity 1)
Cr2 0.011 0.520 0.002 (multiplicity 1)
Cr3 0.507 0.508 0.501 (multiplicity 1)
Cr4 0.508 0.012 0.500 (multiplicity 1)
Cr5 0.509 0.262 0.003 (multiplicity 1)
Cr6 0.514 0.773 0.000 (multiplicity 1)
Cu1 0.084 0.770 0.709 (multiplicity 1)
Cu2 0.238 0.679 0.226 (multiplicity 1)
Cu3 0.773 0.321 0.784 (multiplicity 1)
Cu4 0.911 0.258 0.286 (multiplicity 1)
S1 0.125 0.262 0.894 (multiplicity 1)
S2 0.137 0.754 0.887 (multiplicity 1)
S3 0.219 0.525 0.608 (multiplicity 1)
S4 0.232 0.012 0.617 (multiplicity 1)
S5 0.299 0.251 0.387 (multiplicity 1)
S6 0.300 0.752 0.397 (multiplicity 1)
S7 0.391 0.021 0.109 (multiplicity 1)
S8 0.395 0.531 0.103 (multiplicity 1)
S9 0.623 0.011 0.887 (multiplicity 1)
S10 0.631 0.505 0.900 (multiplicity 1)
S11 0.719 0.267 0.610 (multiplicity 1)
S12 0.720 0.769 0.601 (multiplicity 1)
S13 0.782 0.003 0.384 (multiplicity 1)
S14 0.790 0.504 0.392 (multiplicity 1)
S15 0.888 0.277 0.111 (multiplicity 1)
S16 0.893 0.773 0.118 (multiplicity 1)

---

Record 5
# TaCr3Cu2S8
Theoretical XRD peak list, Cu Kα. Input: the PBE geometry in the Materials Project.

Most intense lines, 2θ = 5–70°, sorted by position:
| (hkl) | d_spacing | 2θ/deg | intensity |
| --- | --- | --- | --- |
| 0 0 2 | 6.129 | 14.45 | 1000 |
| 1 0 -2 | 5.954 | 14.88 | 341 |
| 0 1 2 | 4.276 | 20.77 | 309 |
| 1 1 -2 | 4.212 | 21.09 | 703 |
| 1 1 2 | 3.040 | 29.38 | 351 |
| 2 0 -4 | 2.973 | 30.06 | 486 |
| 2 1 0 | 2.686 | 33.36 | 680 |
| 2 1 -4 | 2.661 | 33.68 | 370 |
| 2 1 2 | 2.147 | 42.09 | 628 |
| 0 2 4 | 2.138 | 42.27 | 567 |
| 2 1 -6 | 2.120 | 42.64 | 569 |
| 2 3 -2 | 1.721 | 53.24 | 542 |

Cell: 6.856 5.968 13.959 Å, 90.00 118.58 90.00°
Space group P2/c (No. 13)
Symmetry-distinct sites (fractional):
Ta1 0.000 0.000 0.000 (multiplicity 2)
Cr1 0.253 0.496 0.004 (multiplicity 4)
Cr2 0.500 0.000 0.000 (multiplicity 2)
Cu1 0.000 0.471 0.250 (multiplicity 2)
Cu2 0.500 0.147 0.750 (multiplicity 2)
S1 0.113 0.340 0.616 (multiplicity 4)
S2 0.145 0.177 0.389 (multiplicity 4)
S3 0.369 0.160 0.114 (multiplicity 4)
S4 0.395 0.330 0.888 (multiplicity 4)

---

Record 6
# TaCr3Cu2S8
Theoretical XRD peak list, Cu Kα. Input: the PBE geometry in the Materials Project.

Most intense lines, 2θ = 5–70°, sorted by position:
| (hkl) | d_spacing | 2θ/deg | intensity |
| --- | --- | --- | --- |
| 0 0 1 | 5.788 | 15.31 | 788 |
| 2 0 0 | 4.980 | 17.81 | 335 |
| 1 1 1 | 3.556 | 25.04 | 748 |
| 2 2 -1 | 3.014 | 29.64 | 513 |
| 1 1 -2 | 3.006 | 29.72 | 1000 |
| 4 0 -1 | 2.967 | 30.12 | 714 |
| 2 2 -2 | 2.493 | 36.02 | 580 |
| 4 0 0 | 2.484 | 36.17 | 291 |
| 1 3 -2 | 1.932 | 47.05 | 275 |
| 3 3 -2 | 1.920 | 47.33 | 321 |
| 2 2 2 | 1.776 | 51.45 | 502 |
| 4 0 -4 | 1.744 | 52.47 | 693 |

Cell: 11.995 7.129 6.980 Å, 90.00 124.09 90.00°
Space group C2 (No. 5)
Symmetry-distinct sites (fractional):
Ta1 0.000 0.000 0.000 (multiplicity 2)
Cr1 0.000 0.022 0.500 (multiplicity 2)
Cr2 0.248 0.773 0.001 (multiplicity 4)
Cu1 0.127 0.508 0.372 (multiplicity 4)
S1 0.003 0.775 0.746 (multiplicity 4)
S2 0.011 0.254 0.759 (multiplicity 4)
S3 0.241 0.020 0.761 (multiplicity 4)
S4 0.247 0.025 0.232 (multiplicity 4)

---

Record 7
# TaCr3Cu2S8
Theoretical XRD peak list, Cu Kα. Input: the PBE geometry in the Materials Project.

Most intense lines, 2θ = 5–70°, sorted by position:
| (hkl) | d_spacing | 2θ/deg | intensity |
| --- | --- | --- | --- |
| 0 1 1 | 8.307 | 10.65 | 560 |
| 0 2 1 | 5.067 | 17.50 | 637 |
| 0 3 2 | 3.183 | 28.04 | 762 |
| 0 0 4 | 3.140 | 28.42 | 370 |
| 1 1 2 | 2.897 | 30.87 | 842 |
| 1 0 3 | 2.647 | 33.86 | 535 |
| 1 2 2 | 2.639 | 33.97 | 475 |
| 1 1 3 | 2.575 | 34.85 | 370 |
| 1 4 0 | 2.151 | 42.00 | 1000 |
| 1 4 4 | 1.775 | 51.49 | 480 |
| 2 0 0 | 1.708 | 53.65 | 409 |
| 1 2 6 | 1.699 | 53.97 | 347 |

Cell: 3.417 11.075 12.561 Å, 90.00 90.00 90.00°
Space group Pmn2_1 (No. 31)
Symmetry-distinct sites (fractional):
Ta1 0.000 0.163 0.000 (multiplicity 2)
Cr1 0.000 0.196 0.540 (multiplicity 2)
Cr2 0.000 0.666 0.333 (multiplicity 2)
Cr3 0.000 0.686 0.806 (multiplicity 2)
Cu1 0.000 0.460 0.596 (multiplicity 2)
Cu2 0.000 0.956 0.769 (multiplicity 2)
S1 0.000 0.164 0.355 (multiplicity 2)
S2 0.000 0.300 0.710 (multiplicity 2)
S3 0.000 0.375 0.966 (multiplicity 2)
S4 0.000 0.453 0.259 (multiplicity 2)
S5 0.000 0.656 0.992 (multiplicity 2)
S6 0.000 0.804 0.637 (multiplicity 2)
S7 0.000 0.881 0.362 (multiplicity 2)
S8 0.000 0.947 0.079 (multiplicity 2)

---

Record 8
# TaCr3Cu2S8
Theoretical XRD peak list, Cu Kα. Input: the PBE geometry in the Materials Project.

Most intense lines, 2θ = 5–70°, sorted by position:
| (hkl) | d_spacing | 2θ/deg | intensity |
| --- | --- | --- | --- |
| 0 1 0 | 9.973 | 8.87 | 437 |
| 1 0 0 | 7.112 | 12.45 | 226 |
| 1 1 0 | 5.790 | 15.30 | 525 |
| 2 0 0 | 3.556 | 25.04 | 249 |
| 1 2 1 | 3.522 | 25.29 | 285 |
| 1 3 0 | 3.015 | 29.63 | 877 |
| 1 1 2 | 2.983 | 29.96 | 1000 |
| 0 4 0 | 2.489 | 36.08 | 895 |
| 1 5 0 | 1.922 | 47.30 | 488 |
| 4 0 0 | 1.778 | 51.39 | 250 |
| 2 4 2 | 1.761 | 51.93 | 960 |
| 0 0 4 | 1.740 | 52.60 | 257 |

Cell: 7.112 9.973 6.960 Å, 90.00 90.00 90.00°
Space group P222_1 (No. 17)
Symmetry-distinct sites (fractional):
Ta1 0.014 0.000 0.000 (multiplicity 2)
Cr1 0.250 0.250 0.247 (multiplicity 4)
Cr2 0.498 0.500 0.500 (multiplicity 2)
Cu1 0.000 0.389 0.750 (multiplicity 2)
Cu2 0.500 0.139 0.750 (multiplicity 2)
S1 0.003 0.246 0.489 (multiplicity 4)
S2 0.248 0.004 0.254 (multiplicity 4)
S3 0.268 0.488 0.248 (multiplicity 4)
S4 0.497 0.261 0.479 (multiplicity 4)

---

Record 9
# TaCr3Cu2S8
Theoretical XRD peak list, Cu Kα. Input: the PBE geometry in the Materials Project.

Most intense lines, 2θ = 5–70°, sorted by position:
| (hkl) | d_spacing | 2θ/deg | intensity |
| --- | --- | --- | --- |
| 0 2 0 | 6.098 | 14.53 | 607 |
| 0 1 1 | 6.024 | 14.71 | 558 |
| 1 1 -1 | 5.197 | 17.06 | 685 |
| 1 0 0 | 4.458 | 19.92 | 417 |
| 1 3 -1 | 3.318 | 26.87 | 461 |
| 1 3 0 | 3.006 | 29.72 | 461 |
| 1 1 1 | 2.902 | 30.81 | 667 |
| 1 1 -3 | 2.863 | 31.24 | 676 |
| 2 4 -2 | 2.092 | 43.25 | 1000 |
| 2 2 -4 | 2.064 | 43.86 | 498 |
| 0 6 2 | 1.753 | 52.18 | 743 |
| 0 0 4 | 1.732 | 52.86 | 459 |

Cell: 5.746 12.195 8.930 Å, 90.00 129.12 90.00°
Space group P2_1/c (No. 14)
Symmetry-distinct sites (fractional):
Ta1 0.000 0.000 0.000 (multiplicity 2)
Cr1 0.229 0.248 0.738 (multiplicity 4)
Cr2 0.500 0.000 0.500 (multiplicity 2)
Cu1 0.148 0.585 0.256 (multiplicity 4)
S1 0.009 0.586 0.757 (multiplicity 4)
S2 0.252 0.671 0.516 (multiplicity 4)
S3 0.274 0.170 0.500 (multiplicity 4)
S4 0.476 0.087 0.252 (multiplicity 4)